1.
Diffraction record for Pr6CdFe13. The X-ray powder pattern is calculated, not measured: it uses DFT lattice parameters and positions (PBE) and copper Kα.
Intensities are scaled so that the largest is 100.

Cell and atoms:
```
data_Pr6CdFe13
_chemical_formula_sum 'Pr12 Cd2 Fe26'
_cell_length_a 13.1329
_cell_length_b 13.1329
_cell_length_c 13.1329
_cell_angle_alpha 144.00
_cell_angle_beta 144.00
_cell_angle_gamma 51.83
_symmetry_space_group_name_H-M 'P 1'
_symmetry_Int_Tables_number 1
loop_
_symmetry_equiv_pos_as_xyz
'x,y,z'
loop_
_atom_site_label
_atom_site_fract_x
_atom_site_fract_y
_atom_site_fract_z
Pr1 0.0217 0.5217 0.1743
Pr2 0.1047 0.1047 0.0000
Pr3 0.1526 0.9783 0.5000
Pr4 0.3474 0.8474 0.8257
Pr5 0.3953 0.3953 0.0000
Pr6 0.4783 0.6526 0.5000
Pr7 0.5217 0.3474 0.5000
Pr8 0.6047 0.6047 0.0000
Pr9 0.6526 0.1526 0.1743
Pr10 0.8474 0.0217 0.5000
Pr11 0.8953 0.8953 0.0000
Pr12 0.9783 0.4783 0.8257
Cd1 0.2500 0.2500 0.0000
Cd2 0.7500 0.7500 0.0000
Fe1 0.0000 0.5000 0.5000
Fe2 0.0199 0.2935 0.5000
Fe3 0.0663 0.2110 0.2773
Fe4 0.1205 0.6205 0.8573
Fe5 0.2065 0.4801 0.5000
Fe6 0.2110 0.9337 0.1447
Fe7 0.2368 0.7368 0.8573
Fe8 0.2632 0.1205 0.5000
Fe9 0.2890 0.4337 0.7227
Fe10 0.2935 0.7935 0.2737
Fe11 0.3795 0.2368 0.5000
Fe12 0.4337 0.7110 0.1447
Fe13 0.4801 0.9801 0.2737
Fe14 0.5000 0.0000 0.5000
Fe15 0.5199 0.0199 0.7263
Fe16 0.5663 0.2890 0.8553
Fe17 0.6205 0.7632 0.5000
Fe18 0.7065 0.2065 0.7263
Fe19 0.7110 0.5663 0.2773
Fe20 0.7368 0.8795 0.5000
Fe21 0.7632 0.2632 0.1427
Fe22 0.7890 0.0663 0.8553
Fe23 0.7935 0.5199 0.5000
Fe24 0.8795 0.3795 0.1427
Fe25 0.9337 0.7890 0.7227
Fe26 0.9801 0.7065 0.5000
```

Most intense lines, 2θ = 15–90°, low angle first:
Position (°2θ)	I/Imax
27.05	75
31.09	100
34.95	85
37.67	57
42.50	48
46.27	38

2.
Diffraction record for Cd4FeS5. The X-ray powder pattern is calculated, not measured: it uses DFT lattice parameters and positions (PBE) and copper Kα.
Intensities are scaled so that the largest is 100.

Cell and atoms:
```
data_Cd4FeS5
_chemical_formula_sum 'Cd8 Fe2 S10'
_cell_length_a 17.9469
_cell_length_b 17.9469
_cell_length_c 6.7945
_cell_angle_alpha 90.72
_cell_angle_beta 90.72
_cell_angle_gamma 13.27
_symmetry_space_group_name_H-M 'P 1'
_symmetry_Int_Tables_number 1
loop_
_symmetry_equiv_pos_as_xyz
'x,y,z'
loop_
_atom_site_label
_atom_site_fract_x
_atom_site_fract_y
_atom_site_fract_z
Cd1 0.0000 0.0000 0.0000
Cd2 0.1354 0.1354 0.4968
Cd3 0.2025 0.2025 0.9976
Cd4 0.4016 0.4016 0.0037
Cd5 0.5318 0.5318 0.4951
Cd6 0.6016 0.6016 0.9979
Cd7 0.7393 0.7393 0.4958
Cd8 0.8042 0.8042 0.0030
Fe1 0.3383 0.3383 0.4953
Fe2 0.9311 0.9311 0.5008
S1 0.1351 0.1351 0.8741
S2 0.2033 0.2033 0.3761
S3 0.3354 0.3354 0.8458
S4 0.4018 0.4018 0.3895
S5 0.5342 0.5342 0.8749
S6 0.6000 0.6000 0.3757
S7 0.7364 0.7364 0.8756
S8 0.8094 0.8094 0.3878
S9 0.9337 0.9337 0.8483
S10 0.9941 0.9941 0.3798
```

Most intense lines, 2θ = 15–90°, low angle first:
Position (°2θ)	I/Imax
24.84	91
26.24	100
28.07	74
28.22	68
43.91	68
47.32	56

3.
Diffraction record for Cd3FeS4. The X-ray powder pattern is calculated, not measured: it uses DFT lattice parameters and positions (PBE) and copper Kα.
Intensities are scaled so that the largest is 100.

Cell and atoms:
```
data_Cd3FeS4
_chemical_formula_sum 'Cd3 Fe1 S4'
_cell_length_a 4.0967
_cell_length_b 4.0967
_cell_length_c 11.6415
_cell_angle_alpha 90.00
_cell_angle_beta 90.00
_cell_angle_gamma 90.00
_symmetry_space_group_name_H-M 'P 1'
_symmetry_Int_Tables_number 1
loop_
_symmetry_equiv_pos_as_xyz
'x,y,z'
loop_
_atom_site_label
_atom_site_fract_x
_atom_site_fract_y
_atom_site_fract_z
Cd1 0.0000 0.0000 0.0000
Cd2 0.5000 0.5000 0.2648
Cd3 0.5000 0.5000 0.7352
Fe1 0.0000 0.0000 0.5000
S1 0.0000 0.5000 0.1326
S2 0.0000 0.5000 0.6014
S3 0.5000 0.0000 0.3986
S4 0.5000 0.0000 0.8674
```

Most intense lines, 2θ = 15–90°, low angle first:
Position (°2θ)	I/Imax
26.61	100
30.87	14
44.11	35
44.22	20
52.16	12
52.35	29

4.
Diffraction record for CdFeS2. The X-ray powder pattern is calculated, not measured: it uses DFT lattice parameters and positions (PBE) and copper Kα.
Intensities are scaled so that the largest is 100.

Cell and atoms:
```
data_CdFeS2
_chemical_formula_sum 'Cd1 Fe1 S2'
_cell_length_a 6.9723
_cell_length_b 6.9723
_cell_length_c 6.9723
_cell_angle_alpha 33.28
_cell_angle_beta 33.28
_cell_angle_gamma 33.28
_symmetry_space_group_name_H-M 'P 1'
_symmetry_Int_Tables_number 1
loop_
_symmetry_equiv_pos_as_xyz
'x,y,z'
loop_
_atom_site_label
_atom_site_fract_x
_atom_site_fract_y
_atom_site_fract_z
Cd1 0.0000 0.0000 0.0000
Fe1 0.5032 0.5032 0.5032
S1 0.3864 0.3864 0.3864
S2 0.8700 0.8700 0.8700
```

Most intense lines, 2θ = 15–90°, low angle first:
Position (°2θ)	I/Imax
27.10	31
27.33	100
31.59	23
45.14	37
45.43	38
53.70	26

5.
Diffraction record for CdFeS2. The X-ray powder pattern is calculated, not measured: it uses DFT lattice parameters and positions (PBE) and copper Kα.
Intensities are scaled so that the largest is 100.

Cell and atoms:
```
data_CdFeS2
_chemical_formula_sum 'Cd1 Fe1 S2'
_cell_length_a 3.9722
_cell_length_b 3.9722
_cell_length_c 6.6299
_cell_angle_alpha 90.00
_cell_angle_beta 90.00
_cell_angle_gamma 120.00
_symmetry_space_group_name_H-M 'P 1'
_symmetry_Int_Tables_number 1
loop_
_symmetry_equiv_pos_as_xyz
'x,y,z'
loop_
_atom_site_label
_atom_site_fract_x
_atom_site_fract_y
_atom_site_fract_z
Cd1 0.0000 0.0000 0.0000
Fe1 0.6667 0.3333 0.4892
S1 0.0000 0.0000 0.3846
S2 0.6667 0.3333 0.8368
```

Most intense lines, 2θ = 15–90°, low angle first:
Position (°2θ)	I/Imax
25.90	77
26.90	43
29.25	100
37.68	40
45.68	53
48.99	57

6.
Diffraction record for CdFe3Sn2S8. The X-ray powder pattern is calculated, not measured: it uses DFT lattice parameters and positions (PBE) and copper Kα.
Intensities are scaled so that the largest is 100.

Cell and atoms:
```
data_CdFe3Sn2S8
_chemical_formula_sum 'Cd1 Fe3 Sn2 S8'
_cell_length_a 7.2721
_cell_length_b 7.2721
_cell_length_c 7.2721
_cell_angle_alpha 121.25
_cell_angle_beta 118.76
_cell_angle_gamma 90.01
_symmetry_space_group_name_H-M 'P 1'
_symmetry_Int_Tables_number 1
loop_
_symmetry_equiv_pos_as_xyz
'x,y,z'
loop_
_atom_site_label
_atom_site_fract_x
_atom_site_fract_y
_atom_site_fract_z
Cd1 0.0000 0.0000 0.0000
Fe1 0.4036 0.1534 0.7499
Fe2 0.4036 0.6537 0.2501
Fe3 0.7794 0.2794 0.5000
Sn1 0.3949 0.6490 0.7459
Sn2 0.9031 0.6490 0.2541
S1 0.1817 0.4290 0.2473
S2 0.1817 0.9344 0.7527
S3 0.1852 0.4009 0.7844
S4 0.2037 0.8973 0.3064
S5 0.5909 0.8973 0.6936
S6 0.6165 0.4009 0.2156
S7 0.6309 0.3730 0.7421
S8 0.6309 0.8888 0.2579
```

Most intense lines, 2θ = 15–90°, low angle first:
Position (°2θ)	I/Imax
24.49	33
28.50	100
28.90	56
29.11	43
34.91	64
50.20	80

7.
Diffraction record for Cd3FeSe4. The X-ray powder pattern is calculated, not measured: it uses DFT lattice parameters and positions (PBE) and copper Kα.
Intensities are scaled so that the largest is 100.

Cell and atoms:
```
data_Cd3FeSe4
_chemical_formula_sum 'Cd3 Fe1 Se4'
_cell_length_a 4.3039
_cell_length_b 4.3039
_cell_length_c 14.1213
_cell_angle_alpha 90.00
_cell_angle_beta 90.00
_cell_angle_gamma 120.00
_symmetry_space_group_name_H-M 'P 1'
_symmetry_Int_Tables_number 1
loop_
_symmetry_equiv_pos_as_xyz
'x,y,z'
loop_
_atom_site_label
_atom_site_fract_x
_atom_site_fract_y
_atom_site_fract_z
Cd1 0.0000 0.0000 0.0000
Cd2 0.0000 0.0000 0.4795
Cd3 0.6667 0.3333 0.7384
Fe1 0.6667 0.3333 0.2331
Se1 0.0000 0.0000 0.1906
Se2 0.0000 0.0000 0.6690
Se3 0.6667 0.3333 0.4084
Se4 0.6667 0.3333 0.9289
```

Most intense lines, 2θ = 15–90°, low angle first:
Position (°2θ)	I/Imax
23.87	100
25.23	52
27.05	71
41.98	86
45.58	77
49.61	48

8.
Diffraction record for Cd3Ga. The X-ray powder pattern is calculated, not measured: it uses DFT lattice parameters and positions (PBE) and copper Kα.
Intensities are scaled so that the largest is 100.

Cell and atoms:
```
data_Cd3Ga
_chemical_formula_sum 'Cd3 Ga1'
_cell_length_a 5.6200
_cell_length_b 5.6200
_cell_length_c 5.6200
_cell_angle_alpha 134.38
_cell_angle_beta 134.38
_cell_angle_gamma 66.49
_symmetry_space_group_name_H-M 'P 1'
_symmetry_Int_Tables_number 1
loop_
_symmetry_equiv_pos_as_xyz
'x,y,z'
loop_
_atom_site_label
_atom_site_fract_x
_atom_site_fract_y
_atom_site_fract_z
Cd1 0.0000 0.0000 0.0000
Cd2 0.2500 0.7500 0.5000
Cd3 0.7500 0.2500 0.5000
Ga1 0.5000 0.5000 0.0000
```

Most intense lines, 2θ = 15–90°, low angle first:
Position (°2θ)	I/Imax
34.82	100
38.30	19
41.45	30
57.70	22
67.01	14
71.33	23

9.
Diffraction record for Cd3Ga. The X-ray powder pattern is calculated, not measured: it uses DFT lattice parameters and positions (PBE) and copper Kα.
Intensities are scaled so that the largest is 100.

Cell and atoms:
```
data_Cd3Ga
_chemical_formula_sum 'Cd6 Ga2'
_cell_length_a 6.3892
_cell_length_b 6.3892
_cell_length_c 5.0576
_cell_angle_alpha 90.00
_cell_angle_beta 90.00
_cell_angle_gamma 120.00
_symmetry_space_group_name_H-M 'P 1'
_symmetry_Int_Tables_number 1
loop_
_symmetry_equiv_pos_as_xyz
'x,y,z'
loop_
_atom_site_label
_atom_site_fract_x
_atom_site_fract_y
_atom_site_fract_z
Cd1 0.1680 0.3359 0.2500
Cd2 0.1680 0.8320 0.2500
Cd3 0.3359 0.1680 0.7500
Cd4 0.6641 0.8320 0.2500
Cd5 0.8320 0.1680 0.7500
Cd6 0.8320 0.6641 0.7500
Ga1 0.3333 0.6667 0.7500
Ga2 0.6667 0.3333 0.2500
```

Most intense lines, 2θ = 15–90°, low angle first:
Position (°2θ)	I/Imax
32.36	24
35.50	25
37.04	100
57.72	17
64.75	18
69.62	19

10.
Diffraction record for Cd3Ga3N5. The X-ray powder pattern is calculated, not measured: it uses DFT lattice parameters and positions (PBE) and copper Kα.
Intensities are scaled so that the largest is 100.

Cell and atoms:
```
data_Cd3Ga3N5
_chemical_formula_sum 'Cd6 Ga6 N10'
_cell_length_a 5.8511
_cell_length_b 7.0197
_cell_length_c 8.7037
_cell_angle_alpha 107.31
_cell_angle_beta 105.03
_cell_angle_gamma 100.31
_symmetry_space_group_name_H-M 'P 1'
_symmetry_Int_Tables_number 1
loop_
_symmetry_equiv_pos_as_xyz
'x,y,z'
loop_
_atom_site_label
_atom_site_fract_x
_atom_site_fract_y
_atom_site_fract_z
Cd1 0.1569 0.3248 0.4660
Cd2 0.2149 0.9368 0.1088
Cd3 0.2350 0.1093 0.7430
Cd4 0.7650 0.8907 0.2570
Cd5 0.7851 0.0632 0.8912
Cd6 0.8431 0.6752 0.5340
Ga1 0.2047 0.4604 0.0936
Ga2 0.3709 0.6529 0.8126
Ga3 0.3977 0.8036 0.4712
Ga4 0.6023 0.1964 0.5288
Ga5 0.6291 0.3471 0.1874
Ga6 0.7953 0.5396 0.9064
N1 0.1452 0.6005 0.9281
N2 0.2413 0.7429 0.6273
N3 0.2488 0.9971 0.3811
N4 0.2983 0.2015 0.0232
N5 0.4970 0.3841 0.7015
N6 0.5030 0.6159 0.2985
N7 0.7017 0.7985 0.9768
N8 0.7512 0.0029 0.6189
N9 0.7587 0.2571 0.3727
N10 0.8548 0.3995 0.0719
```

Most intense lines, 2θ = 15–90°, low angle first:
Position (°2θ)	I/Imax
31.97	67
32.73	74
33.00	50
33.25	71
33.37	83
33.71	100